Record 1
# Cs2Th6F25
Calculated X-ray diffraction stick pattern, λ = 1.5418 Å (Cu Kα). Input: a crystal structure in OQMD, relaxed with PBE.

Principal peaks in the range 5° ≤ 2θ ≤ 70°, low angle first:
2θ (°), d [Å], I (rel.)
20.8, 4.277, 26.3
24.3, 3.665, 42.9
25.0, 3.555, 100.0
30.2, 2.962, 23.2
32.8, 2.734, 34.0
39.6, 2.276, 20.6
44.1, 2.053, 34.8
49.2, 1.851, 21.8
49.8, 1.833, 33.8
62.7, 1.481, 15.2

Crystal structure
Unit cell a=8.211 b=8.211 c=8.555 alpha=90.00 beta=90.00 gamma=120.00
Element x y z (fractional)
Cs (0.000, 0.000, 0.000)
Cs (0.000, 0.000, 0.500)
Th (0.000, 0.500, 0.233)
Th (0.000, 0.500, 0.767)
Th (0.500, 0.000, 0.233)
Th (0.500, 0.000, 0.767)
Th (0.500, 0.500, 0.233)
Th (0.500, 0.500, 0.767)
F (0.000, 0.346, 0.000)
F (0.000, 0.500, 0.500)
F (0.000, 0.654, 0.000)
F (0.182, 0.365, 0.304)
F (0.182, 0.365, 0.696)
F (0.182, 0.818, 0.304)
F (0.182, 0.818, 0.696)
F (0.333, 0.667, 0.149)
F (0.333, 0.667, 0.851)
F (0.346, 0.000, 0.000)
F (0.346, 0.346, 0.000)
F (0.365, 0.182, 0.304)
F (0.365, 0.182, 0.696)
F (0.500, 0.000, 0.500)
F (0.500, 0.500, 0.500)
F (0.635, 0.818, 0.304)
F (0.635, 0.818, 0.696)
F (0.654, 0.000, 0.000)
F (0.654, 0.654, 0.000)
F (0.667, 0.333, 0.149)
F (0.667, 0.333, 0.851)
F (0.818, 0.182, 0.304)
F (0.818, 0.182, 0.696)
F (0.818, 0.635, 0.304)
F (0.818, 0.635, 0.696)


Record 2
# YErW2C3
Calculated X-ray diffraction stick pattern, λ = 1.5418 Å (Cu Kα). Input: a crystal structure in OQMD, relaxed with PBE.

Principal peaks in the range 5° ≤ 2θ ≤ 70°, low angle first:
2θ (°), d [Å], I (rel.)
31.3, 2.860, 22.9
31.6, 2.832, 31.0
32.9, 2.725, 39.9
34.0, 2.635, 24.4
34.6, 2.593, 100.0
36.3, 2.476, 75.0
37.4, 2.406, 23.7
43.5, 2.081, 36.4
56.1, 1.640, 23.8
63.3, 1.470, 26.1

Crystal structure
Unit cell a=6.121 b=6.121 c=5.699 alpha=111.49 beta=111.49 gamma=31.41
Element x y z (fractional)
Y (0.000, 0.000, 0.000)
Er (0.780, 0.780, 0.358)
W (0.235, 0.235, 0.854)
W (0.546, 0.546, 0.507)
C (0.142, 0.142, 0.446)
C (0.390, 0.390, 0.183)
C (0.640, 0.640, 0.917)


Record 3
# HfMgSi2Pt4
Calculated X-ray diffraction stick pattern, λ = 1.5418 Å (Cu Kα). Input: a crystal structure in OQMD, relaxed with PBE.

Principal peaks in the range 5° ≤ 2θ ≤ 70°, low angle first:
2θ (°), d [Å], I (rel.)
25.9, 3.446, 28.9
36.0, 2.496, 26.2
36.4, 2.466, 77.8
36.6, 2.457, 100.0
38.7, 2.326, 25.3
42.7, 2.115, 39.7
44.6, 2.033, 42.6
45.0, 2.016, 31.0
47.0, 1.933, 27.5
49.7, 1.836, 28.9

Crystal structure
Unit cell a=7.006 b=5.320 c=5.320 alpha=40.37 beta=90.00 gamma=90.00
Element x y z (fractional)
Hf (0.000, 0.000, 0.000)
Mg (0.500, 0.910, 0.910)
Si (0.000, 0.721, 0.721)
Si (0.500, 0.186, 0.186)
Pt (0.204, 0.314, 0.314)
Pt (0.294, 0.589, 0.589)
Pt (0.706, 0.589, 0.589)
Pt (0.796, 0.314, 0.314)